# CsFe3Si5
Theoretical X-ray diffraction stick pattern, Cu Kα (weighted mean of Kα1 and Kα2). Input: the PBE geometry in OQMD.
Kinematic intensities with the Lorentz-polarization factor, no thermal factor.

Principal peaks in the range 10 to 90 degrees two-theta, by angle:
| h k l | d_spacing | two_theta | Rel. int. |
| --- | --- | --- | --- |
| 0 0 2 | 4.576 | 19.40 | 48 |
| 1 0 1 | 3.755 | 23.70 | 100 |
| 1 0 2 | 3.060 | 29.18 | 44 |
| 0 0 4 | 2.288 | 39.39 | 23 |
| 2 0 0 | 2.059 | 43.99 | 24 |
| 2 0 2 | 1.877 | 48.51 | 93 |

Atomic structure:
```
data_CsFe3Si5
_chemical_formula_sum 'Cs1 Fe3 Si5'
_space_group_name_H-M_alt 'P 6/m m m'
_space_group_IT_number 191
_space_group_name_Hall '-P 6 2'
_cell_length_a 4.7540
_cell_length_b 4.7540
_cell_length_c 9.1510
_cell_angle_alpha 90.00
_cell_angle_beta 90.00
_cell_angle_gamma 120.00
loop_
_atom_site_label
_atom_site_type_symbol
_atom_site_fract_x
_atom_site_fract_y
_atom_site_fract_z
_atom_site_occupancy
Cs1 Cs 0.0000 0.0000 0.0000 1
Fe1 Fe 0.0000 0.5000 0.5000 1
Si1 Si 0.0000 0.0000 0.5000 1
Si2 Si 0.3333 0.6667 0.2881 1
```

# Ag6Ge2O7
Theoretical X-ray diffraction stick pattern, Cu Kα (weighted mean of Kα1 and Kα2). Input: the PBE geometry in OQMD.
Kinematic intensities with the Lorentz-polarization factor, no thermal factor.

Principal peaks in the range 10 to 90 degrees two-theta, by angle:
| h k l | d_spacing | two_theta | Rel. int. |
| --- | --- | --- | --- |
| 1 2 -4 | 2.723 | 32.90 | 96 |
| 1 2 4 | 2.707 | 33.10 | 100 |
| 2 0 0 | 2.700 | 33.18 | 49 |
| 0 4 0 | 2.504 | 35.86 | 34 |
| 0 0 8 | 2.016 | 44.98 | 16 |
| 2 4 0 | 1.836 | 49.66 | 23 |

Atomic structure:
```
data_Ag6Ge2O7
_chemical_formula_sum 'Ag24 Ge8 O28'
_space_group_name_H-M_alt 'P 1 21 1'
_space_group_IT_number 4
_space_group_name_Hall 'P 2yb'
_cell_length_a 5.400
_cell_length_b 10.017
_cell_length_c 16.124
_cell_angle_alpha 90.00
_cell_angle_beta 90.50
_cell_angle_gamma 90.00
loop_
_atom_site_label
_atom_site_type_symbol
_atom_site_fract_x
_atom_site_fract_y
_atom_site_fract_z
_atom_site_occupancy
Ag1 Ag 0.176 0.004 0.175 1
Ag2 Ag 0.201 0.322 0.571 1
Ag3 Ag 0.202 0.773 0.548 1
Ag4 Ag 0.205 0.762 0.820 1
Ag5 Ag 0.209 0.301 0.074 1
Ag6 Ag 0.209 0.978 0.678 1
Ag7 Ag 0.217 0.500 0.198 1
Ag8 Ag 0.222 0.733 0.027 1
Ag9 Ag 0.224 0.511 0.427 1
Ag10 Ag 0.227 0.528 0.704 1
Ag11 Ag 0.227 0.789 0.338 1
Ag12 Ag 0.314 0.503 0.917 1
Ge1 Ge 0.232 0.256 0.801 1
Ge2 Ge 0.257 0.033 0.939 1
Ge3 Ge 0.266 0.052 0.466 1
Ge4 Ge 0.271 0.247 0.306 1
O1 O 0.029 0.168 0.734 1
O2 O 0.055 0.347 0.876 1
O3 O 0.058 0.738 0.686 1
O4 O 0.061 0.545 0.551 1
O5 O 0.070 0.533 0.070 1
O6 O 0.351 0.099 0.036 1
O7 O 0.351 0.113 0.564 1
O8 O 0.371 0.868 0.928 1
O9 O 0.372 0.415 0.315 1
O10 O 0.386 0.177 0.214 1
O11 O 0.387 0.890 0.448 1
O12 O 0.405 0.131 0.859 1
O13 O 0.411 0.160 0.392 1
O14 O 0.447 0.359 0.751 1
```

# KHfAgTe2Se
Theoretical X-ray diffraction stick pattern, Cu Kα (weighted mean of Kα1 and Kα2). Input: the PBE geometry in OQMD.
Kinematic intensities with the Lorentz-polarization factor, no thermal factor.

Principal peaks in the range 10 to 90 degrees two-theta, by angle:
| h k l | d_spacing | two_theta | Rel. int. |
| --- | --- | --- | --- |
| 1 0 -1 | 7.843 | 11.28 | 100 |
| 0 0 3 | 3.420 | 26.05 | 14 |
| 2 1 -1 | 2.975 | 30.04 | 26 |
| 2 1 0 | 2.876 | 31.10 | 33 |
| 2 1 -4 | 2.218 | 40.68 | 24 |
| 0 2 0 | 2.057 | 44.03 | 15 |

Atomic structure:
```
data_KHfAgTe2Se
_chemical_formula_sum 'K2 Hf2 Ag2 Te4 Se2'
_space_group_name_H-M_alt 'P 1 21/m 1'
_space_group_IT_number 11
_space_group_name_Hall '-P 2yb'
_cell_length_a 8.619
_cell_length_b 4.114
_cell_length_c 10.993
_cell_angle_alpha 90.00
_cell_angle_beta 111.02
_cell_angle_gamma 90.00
loop_
_atom_site_label
_atom_site_type_symbol
_atom_site_fract_x
_atom_site_fract_y
_atom_site_fract_z
_atom_site_occupancy
K1 K 0.236 0.250 0.283 1
Hf1 Hf 0.303 0.750 0.830 1
Ag1 Ag 0.074 0.250 0.599 1
Te1 Te 0.283 0.750 0.565 1
Te2 Te 0.433 0.750 0.120 1
Se1 Se 0.108 0.250 0.848 1
```

# Tb2Ni3Ge5
Theoretical X-ray diffraction stick pattern, Cu Kα (weighted mean of Kα1 and Kα2). Input: the PBE geometry in OQMD.
Kinematic intensities with the Lorentz-polarization factor, no thermal factor.

Principal peaks in the range 10 to 90 degrees two-theta, by angle:
| h k l | d_spacing | two_theta | Rel. int. |
| --- | --- | --- | --- |
| 3 2 1 | 2.560 | 35.05 | 95 |
| 2 0 2 | 2.527 | 35.53 | 100 |
| 2 4 0 | 2.496 | 35.98 | 90 |
| 0 4 2 | 2.070 | 43.74 | 92 |
| 5 2 1 | 1.768 | 51.71 | 33 |
| 2 4 4 | 1.270 | 74.72 | 29 |

Atomic structure:
```
data_Tb2Ni3Ge5
_chemical_formula_sum 'Tb8 Ni12 Ge20'
_space_group_name_H-M_alt 'I b a m'
_space_group_IT_number 72
_space_group_name_Hall '-I 2 2c'
_cell_length_a 9.775
_cell_length_b 11.612
_cell_length_c 5.903
_cell_angle_alpha 90.00
_cell_angle_beta 90.00
_cell_angle_gamma 90.00
loop_
_atom_site_label
_atom_site_type_symbol
_atom_site_fract_x
_atom_site_fract_y
_atom_site_fract_z
_atom_site_occupancy
Tb1 Tb 0.234 0.135 0.000 1
Ni1 Ni 0.000 0.500 0.250 1
Ni2 Ni 0.108 0.137 0.500 1
Ge1 Ge 0.000 0.000 0.250 1
Ge2 Ge 0.000 0.270 0.250 1
Ge3 Ge 0.160 0.402 0.000 1
```

> Which formula does entry 2 have?

Ag6Ge2O7